Structure and computed powder diffraction line list of NpIrPd (a structure optimized by DFT (GGA-PBE); CuKα).

Peak list (10 most intense, 15 to 90 degrees two-theta, in order of rising 2θ)
2θ 25.1, rel. 20.2; 2θ 32.9, rel. 58.3; 2θ 40.9, rel. 100.0; 2θ 41.4, rel. 18.8; 2θ 42.7, rel. 52.7; 2θ 61.0, rel. 24.3; 2θ 62.0, rel. 17.7; 2θ 72.0, rel. 12.5; 2θ 77.0, rel. 34.0; 2θ 80.0, rel. 16.4

Crystal structure
a b c (Å): 4.234 4.234 6.545
angles (deg): 90.00 90.00 90.00
Element x y z (fractional)
Np 0.250 0.250 0.207
Np 0.750 0.750 0.793
Ir 0.250 0.750 0.500
Ir 0.750 0.250 0.500
Pd 0.250 0.250 0.788
Pd 0.750 0.750 0.212

=====

Structure and computed powder diffraction line list of Pm2NpIr3 (a structure optimized by DFT (GGA-PBE); CuKα).

Peak list (10 most intense, 15 to 90 degrees two-theta, in order of rising 2θ)
2θ 15.2, rel. 24.1; 2θ 31.5, rel. 100.0; 2θ 31.6, rel. 89.2; 2θ 35.3, rel. 59.3; 2θ 39.2, rel. 32.3; 2θ 43.5, rel. 41.8; 2θ 44.6, rel. 19.9; 2θ 45.2, rel. 24.7; 2θ 47.4, rel. 27.9; 2θ 70.6, rel. 21.0

Crystal structure
a b c (Å): 6.800 6.800 8.314
angles (deg): 108.01 108.01 49.35
Element x y z (fractional)
Pm 0.154 0.211 0.083
Pm 0.211 0.154 0.583
Pm 0.789 0.846 0.417
Pm 0.846 0.789 0.917
Np 0.355 0.645 0.750
Np 0.645 0.355 0.250
Ir 0.127 0.873 0.250
Ir 0.335 0.415 0.425
Ir 0.415 0.335 0.925
Ir 0.585 0.665 0.075
Ir 0.665 0.585 0.575
Ir 0.873 0.127 0.750

=====

Structure and computed powder diffraction line list of PmNp2Ir9 (a structure optimized by DFT (GGA-PBE); CuKα).

Peak list (10 most intense, 15 to 90 degrees two-theta, in order of rising 2θ)
2θ 33.5, rel. 19.5; 2θ 33.8, rel. 27.2; 2θ 39.4, rel. 30.8; 2θ 39.7, rel. 100.0; 2θ 41.2, rel. 23.0; 2θ 41.6, rel. 17.6; 2θ 42.6, rel. 22.8; 2θ 42.9, rel. 40.7; 2θ 64.4, rel. 24.6; 2θ 71.0, rel. 27.3

Crystal structure
a b c (Å): 9.288 9.288 9.288
angles (deg): 33.20 33.20 33.20
Element x y z (fractional)
Pm 0.000 0.000 0.000
Np 0.140 0.140 0.140
Np 0.860 0.860 0.860
Ir 0.081 0.585 0.585
Ir 0.333 0.333 0.333
Ir 0.415 0.415 0.919
Ir 0.415 0.919 0.415
Ir 0.500 0.500 0.500
Ir 0.585 0.081 0.585
Ir 0.585 0.585 0.081
Ir 0.667 0.667 0.667
Ir 0.919 0.415 0.415

=====

Structure and computed powder diffraction line list of PrNpIr (a structure optimized by DFT (GGA-PBE); CuKα).

Peak list (10 most intense, 15 to 90 degrees two-theta, in order of rising 2θ)
2θ 16.8, rel. 57.3; 2θ 31.0, rel. 46.2; 2θ 31.8, rel. 100.0; 2θ 33.9, rel. 86.8; 2θ 36.8, rel. 62.9; 2θ 40.1, rel. 21.8; 2θ 42.0, rel. 72.3; 2θ 46.5, rel. 22.4; 2θ 54.0, rel. 23.4; 2θ 57.6, rel. 25.8

Crystal structure
a b c (Å): 9.875 8.117 7.157
angles (deg): 80.29 54.11 45.59
Element x y z (fractional)
Pr 0.018 0.018 0.232
Pr 0.232 0.232 0.018
Pr 0.768 0.768 0.982
Pr 0.982 0.982 0.768
Np 0.205 0.205 0.545
Np 0.455 0.455 0.795
Np 0.545 0.545 0.205
Np 0.795 0.795 0.455
Ir 0.267 0.483 0.267
Ir 0.483 0.267 0.483
Ir 0.517 0.733 0.517
Ir 0.733 0.517 0.733

=====

Structure and computed powder diffraction line list of NpSi2IrPt2 (a structure optimized by DFT (GGA-PBE); CuKα).

Peak list (10 most intense, 15 to 90 degrees two-theta, in order of rising 2θ)
2θ 27.5, rel. 100.0; 2θ 38.5, rel. 96.3; 2θ 39.3, rel. 52.6; 2θ 56.2, rel. 65.7; 2θ 56.7, rel. 18.3; 2θ 64.2, rel. 19.3; 2θ 70.7, rel. 16.7; 2θ 76.0, rel. 11.7; 2θ 82.6, rel. 12.8; 2θ 84.0, rel. 21.6

Crystal structure
a b c (Å): 4.590 4.590 5.428
angles (deg): 90.00 90.00 90.00
Element x y z (fractional)
Np 0.000 0.000 0.000
Si 0.000 0.500 0.500
Si 0.500 0.000 0.500
Ir 0.000 0.000 0.500
Pt 0.500 0.500 0.243
Pt 0.500 0.500 0.757

=====

Structure and computed powder diffraction line list of Pu2NpIr (a structure optimized by DFT (GGA-PBE); CuKα).

Peak list (10 most intense, 15 to 90 degrees two-theta, in order of rising 2θ)
2θ 35.9, rel. 100.0; 2θ 38.3, rel. 98.5; 2θ 39.3, rel. 55.7; 2θ 40.1, rel. 50.9; 2θ 49.3, rel. 12.2; 2θ 57.4, rel. 36.4; 2θ 64.8, rel. 10.9; 2θ 68.5, rel. 18.1; 2θ 69.1, rel. 15.4; 2θ 73.1, rel. 14.9

Crystal structure
a b c (Å): 4.519 4.580 7.426
angles (deg): 89.93 84.89 90.00
Element x y z (fractional)
Pu 0.225 0.250 0.005
Pu 0.248 0.250 0.499
Pu 0.752 0.750 0.501
Pu 0.775 0.750 0.995
Np 0.219 0.750 0.672
Np 0.781 0.250 0.328
Ir 0.283 0.750 0.242
Ir 0.717 0.250 0.758

=====

Structure and computed powder diffraction line list of PuNpIr (a structure optimized by DFT (GGA-PBE); CuKα).

Peak list (10 most intense, 15 to 90 degrees two-theta, in order of rising 2θ)
2θ 36.6, rel. 100.0; 2θ 37.4, rel. 31.3; 2θ 38.0, rel. 44.9; 2θ 38.6, rel. 15.6; 2θ 39.8, rel. 71.7; 2θ 54.5, rel. 30.0; 2θ 55.8, rel. 19.2; 2θ 65.6, rel. 16.2; 2θ 69.1, rel. 14.0; 2θ 71.9, rel. 13.8

Crystal structure
a b c (Å): 3.382 3.382 9.948
angles (deg): 94.54 94.54 90.48
Element x y z (fractional)
Pu 0.194 0.806 0.500
Pu 0.806 0.194 0.000
Np 0.133 0.732 0.148
Np 0.732 0.133 0.648
Ir 0.275 0.652 0.820
Ir 0.652 0.275 0.320

=====

Structure and computed powder diffraction line list of PuNpUIr (a structure optimized by DFT (GGA-PBE); CuKα).

Peak list (5 most intense, 15 to 90 degrees two-theta, in order of rising 2θ)
2θ 23.0, rel. 0.5; 2θ 37.9, rel. 100.0; 2θ 54.7, rel. 17.8; 2θ 68.5, rel. 36.9; 2θ 81.1, rel. 11.9

Crystal structure
a b c (Å): 4.743 4.743 4.743
angles (deg): 60.00 60.00 60.00
Element x y z (fractional)
Pu 0.000 0.000 0.000
Np 0.250 0.250 0.250
U 0.500 0.500 0.500
Ir 0.750 0.750 0.750

=====

Structure and computed powder diffraction line list of NpIrRh6 (a structure optimized by DFT (GGA-PBE); CuKα).

Peak list (10 most intense, 15 to 90 degrees two-theta, in order of rising 2θ)
2θ 23.1, rel. 20.8; 2θ 25.2, rel. 37.0; 2θ 27.1, rel. 25.4; 2θ 30.6, rel. 24.7; 2θ 34.5, rel. 27.1; 2θ 39.3, rel. 49.5; 2θ 40.0, rel. 32.9; 2θ 43.2, rel. 100.0; 2θ 51.7, rel. 24.7; 2θ 54.3, rel. 31.0

Crystal structure
a b c (Å): 5.245 5.245 5.245
angles (deg): 84.71 84.71 84.71
Element x y z (fractional)
Np 0.000 0.000 0.000
Ir 0.500 0.500 0.500
Rh 0.163 0.163 0.547
Rh 0.163 0.547 0.163
Rh 0.453 0.837 0.837
Rh 0.547 0.163 0.163
Rh 0.837 0.453 0.837
Rh 0.837 0.837 0.453

=====

Structure and computed powder diffraction line list of NpIrRh3 (a structure optimized by DFT (GGA-PBE); CuKα).

Peak list (10 most intense, 15 to 90 degrees two-theta, in order of rising 2θ)
2θ 28.1, rel. 24.6; 2θ 38.3, rel. 87.3; 2θ 38.5, rel. 100.0; 2θ 43.4, rel. 34.2; 2θ 45.4, rel. 18.2; 2θ 62.2, rel. 17.3; 2θ 76.2, rel. 25.6; 2θ 78.8, rel. 17.8; 2θ 85.6, rel. 16.8; 2θ 86.1, rel. 17.4

Crystal structure
a b c (Å): 4.174 6.359 6.310
angles (deg): 90.00 90.00 90.00
Element x y z (fractional)
Np 0.250 0.250 0.246
Np 0.750 0.750 0.754
Ir 0.250 0.750 0.052
Ir 0.750 0.250 0.948
Rh 0.250 0.048 0.755
Rh 0.250 0.452 0.755
Rh 0.250 0.750 0.456
Rh 0.750 0.250 0.544
Rh 0.750 0.548 0.245
Rh 0.750 0.952 0.245

=====

Structure and computed powder diffraction line list of NpSi4Ir2Rh (a structure optimized by DFT (GGA-PBE); CuKα).

Peak list (10 most intense, 15 to 90 degrees two-theta, in order of rising 2θ)
2θ 28.7, rel. 100.0; 2θ 30.7, rel. 35.5; 2θ 32.2, rel. 16.3; 2θ 38.2, rel. 58.5; 2θ 43.7, rel. 70.8; 2θ 53.1, rel. 18.9; 2θ 55.3, rel. 22.1; 2θ 59.4, rel. 16.3; 2θ 71.1, rel. 15.9; 2θ 76.6, rel. 15.6

Crystal structure
a b c (Å): 8.674 8.674 8.674
angles (deg): 27.63 27.63 27.63
Element x y z (fractional)
Np 0.000 0.000 0.000
Si 0.125 0.125 0.125
Si 0.397 0.397 0.397
Si 0.603 0.603 0.603
Si 0.875 0.875 0.875
Ir 0.230 0.230 0.230
Ir 0.770 0.770 0.770
Rh 0.500 0.500 0.500

=====

Structure and computed powder diffraction line list of Np2Si5Ir3 (a structure optimized by DFT (GGA-PBE); CuKα).

Peak list (10 most intense, 15 to 90 degrees two-theta, in order of rising 2θ)
2θ 25.0, rel. 35.2; 2θ 27.8, rel. 21.9; 2θ 30.7, rel. 23.7; 2θ 32.9, rel. 27.1; 2θ 34.7, rel. 100.0; 2θ 35.6, rel. 42.0; 2θ 36.1, rel. 36.4; 2θ 44.4, rel. 59.8; 2θ 50.7, rel. 22.4; 2θ 57.1, rel. 25.6

Crystal structure
a b c (Å): 8.149 8.149 8.149
angles (deg): 103.97 90.82 138.09
Element x y z (fractional)
Np 0.132 0.230 0.362
Np 0.368 0.730 0.098
Np 0.632 0.270 0.902
Np 0.868 0.770 0.638
Si 0.025 0.750 0.275
Si 0.106 0.655 0.761
Si 0.250 0.250 0.000
Si 0.394 0.155 0.549
Si 0.475 0.750 0.725
Si 0.525 0.250 0.275
Si 0.606 0.845 0.451
Si 0.750 0.750 0.000
Si 0.894 0.345 0.239
Si 0.975 0.250 0.725
Ir 0.140 0.886 0.026
Ir 0.250 0.750 0.500
Ir 0.360 0.386 0.745
Ir 0.640 0.614 0.255
Ir 0.750 0.250 0.500
Ir 0.860 0.114 0.974

=====

Structure and computed powder diffraction line list of Np3Si4Ir7 (a structure optimized by DFT (GGA-PBE); CuKα).

Peak list (10 most intense, 15 to 90 degrees two-theta, in order of rising 2θ)
2θ 30.6, rel. 19.8; 2θ 36.1, rel. 100.0; 2θ 36.6, rel. 21.9; 2θ 37.4, rel. 57.9; 2θ 38.5, rel. 31.4; 2θ 40.1, rel. 23.4; 2θ 43.9, rel. 31.4; 2θ 45.4, rel. 40.3; 2θ 65.0, rel. 20.2; 2θ 69.8, rel. 16.5

Crystal structure
a b c (Å): 7.817 7.817 9.356
angles (deg): 123.76 123.76 29.59
Element x y z (fractional)
Np 0.000 0.000 0.000
Np 0.323 0.323 0.322
Np 0.677 0.677 0.678
Si 0.113 0.113 0.837
Si 0.337 0.337 0.724
Si 0.663 0.663 0.276
Si 0.887 0.887 0.163
Ir 0.000 0.000 0.500
Ir 0.164 0.164 0.428
Ir 0.304 0.304 0.950
Ir 0.496 0.496 0.718
Ir 0.504 0.504 0.282
Ir 0.696 0.696 0.050
Ir 0.836 0.836 0.572

=====

Structure and computed powder diffraction line list of NpSi7Ir3 (a structure optimized by DFT (GGA-PBE); CuKα).

Peak list (10 most intense, 15 to 90 degrees two-theta, in order of rising 2θ)
2θ 16.0, rel. 19.1; 2θ 26.8, rel. 100.0; 2θ 35.6, rel. 55.7; 2θ 40.1, rel. 16.8; 2θ 40.7, rel. 49.8; 2θ 47.2, rel. 34.2; 2θ 49.4, rel. 40.3; 2θ 65.9, rel. 17.1; 2θ 70.6, rel. 23.7; 2θ 70.8, rel. 16.9

Crystal structure
a b c (Å): 8.022 8.022 8.022
angles (deg): 57.17 57.17 57.17
Element x y z (fractional)
Np 0.000 0.000 0.000
Np 0.500 0.500 0.500
Si 0.067 0.851 0.673
Si 0.149 0.327 0.933
Si 0.173 0.351 0.567
Si 0.250 0.250 0.250
Si 0.327 0.933 0.149
Si 0.351 0.567 0.173
Si 0.433 0.827 0.649
Si 0.567 0.173 0.351
Si 0.649 0.433 0.827
Si 0.673 0.067 0.851
Si 0.750 0.750 0.750
Si 0.827 0.649 0.433
Si 0.851 0.673 0.067
Si 0.933 0.149 0.327
Ir 0.067 0.750 0.433
Ir 0.250 0.567 0.933
Ir 0.433 0.067 0.750
Ir 0.567 0.933 0.250
Ir 0.750 0.433 0.067
Ir 0.933 0.250 0.567